This entry pairs a crystal structure of NaZr2P3O12 with its simulated PXRD pattern. Radiation: Cu Kα X-rays. Structure: a structure optimized by DFT (PBE).
Intensities are scaled so that the largest is 1000.

The 10 most intense peaks (2θ = 10–80°), most intense first:
19.85°, intensity 1000
30.72°, intensity 956
23.02°, intensity 913
19.22°, intensity 772
27.77°, intensity 504
34.75°, intensity 419
47.04°, intensity 300
54.27°, intensity 296
13.78°, intensity 264
44.14°, intensity 239

Crystal structure
```
NaZr2P3O12
1.0
4.4718 2.5818 7.6715
-4.4718 2.5818 7.6715
0.0000 -5.1636 7.6715
Na Zr P O
2 4 6 24
Direct
0.0000 0.0000 0.0000
0.5000 0.5000 0.5000
0.1451 0.1451 0.1451
0.3549 0.3549 0.3549
0.6451 0.6451 0.6451
0.8549 0.8549 0.8549
0.0410 0.7500 0.4590
0.2500 0.5410 0.9590
0.4590 0.0410 0.7500
0.5410 0.9590 0.2500
0.7500 0.4590 0.0410
0.9590 0.2500 0.5410
0.0042 0.7909 0.6194
0.0626 0.9157 0.2806
0.0843 0.7194 0.9374
0.1194 0.2909 0.5042
0.2091 0.3806 0.9958
0.2194 0.5843 0.4374
0.2806 0.0626 0.9157
0.2909 0.5042 0.1194
0.3806 0.9958 0.2091
0.4157 0.5626 0.7806
0.4374 0.2194 0.5843
0.4958 0.8806 0.7091
0.5042 0.1194 0.2909
0.5626 0.7806 0.4157
0.5843 0.4374 0.2194
0.6194 0.0042 0.7909
0.7091 0.4958 0.8806
0.7194 0.9374 0.0843
0.7806 0.4157 0.5626
0.7909 0.6194 0.0042
0.8806 0.7091 0.4958
0.9157 0.2806 0.0626
0.9374 0.0843 0.7194
0.9958 0.2091 0.3806
```